Computed powder X-ray diffraction pattern
Compound: Tc5Ag
Radiation: Cu Ka
Structure: a crystal structure in Alexandria, relaxed with PBE
Lines closer than 0.1° are merged.

Peak list (10 most intense, 5° ≤ 2θ ≤ 70°, in order of rising 2θ)
2theta  intensity  hkl
31.66  1  1 0 4
36.87  10  0 0 6
37.53  29  0 1 3
40.49  41  2 0 0
42.26  58  1 0 6
42.84  100  1 1 3
55.91  6  2 0 6
56.39  17  2 1 3
66.86  17  0 1 9
68.14  9  0 2 0

Cell and atoms:
```
data_Tc5Ag
_chemical_formula_sum 'Tc10 Ag2'
_cell_length_a 4.456
_cell_length_b 2.752
_cell_length_c 14.626
_cell_angle_alpha 90.00
_cell_angle_beta 90.00
_cell_angle_gamma 90.00
_symmetry_space_group_name_H-M 'A m m 2'
_symmetry_Int_Tables_number 38
_symmetry_space_group_name_Hall 'A 2 -2'
loop_
_atom_site_label
_atom_site_type_symbol
_atom_site_fract_x
_atom_site_fract_y
_atom_site_fract_z
Tc1 Tc 0.000 0.000 0.000
Tc2 Tc 0.000 0.000 0.321
Tc3 Tc 0.000 0.000 0.659
Tc4 Tc 0.500 0.000 0.216
Tc5 Tc 0.500 0.000 0.557
Ag1 Ag 0.500 0.000 0.886
```